Simulated XRD peak list of Sr3Ga8Cu3 for Cu Kα X-rays, from the GGA-PBE geometry in Alexandria.

The 12 most intense peaks (10 to 80 degrees two-theta), by angle:
d 3.053, 2θ 29.25, rel. 18.7; d 2.684, 2θ 33.38, rel. 23.1; d 2.674, 2θ 33.51, rel. 57.1; d 2.631, 2θ 34.07, rel. 27.9; d 2.612, 2θ 34.34, rel. 100.0; d 2.495, 2θ 35.99, rel. 17.8; d 2.464, 2θ 36.46, rel. 30.6; d 2.207, 2θ 40.90, rel. 58.0; d 2.199, 2θ 41.04, rel. 25.5; d 2.114, 2θ 42.77, rel. 19.8; d 2.044, 2θ 44.31, rel. 24.9; d 1.472, 2θ 63.15, rel. 19.6

Structure:
Cell lengths 8.3976, 8.3976, 8.3976 Å; angles 149.53, 106.19, 81.91 degrees
Element x y z (fractional)
1 Sr 0.0000 0.0000 0.0000
2 Sr 0.3074 0.3074 0.0000
3 Sr 0.6926 0.6926 0.0000
4 Ga 0.0202 0.6639 0.3562
5 Ga 0.1651 0.8773 0.2878
6 Ga 0.3077 0.6639 0.6438
7 Ga 0.4106 0.1227 0.2878
8 Ga 0.5894 0.8773 0.7122
9 Ga 0.6923 0.3361 0.3562
10 Ga 0.8349 0.1227 0.7122
11 Ga 0.9798 0.3361 0.6438
12 Cu 0.2882 0.5000 0.7882
13 Cu 0.5000 0.0000 0.5000
14 Cu 0.7118 0.5000 0.2118